For Zn2TeF8, a cell relaxed with GGA-PBE gives the computed powder X-ray diffraction pattern in this record (Cu Kα).
Kinematic intensities with the Lorentz-polarization factor, no thermal factor.

Top 10 peaks for 10° ≤ 2θ ≤ 80°, most intense first:
26.0°, d 3.427, intensity 100; 24.7°, d 3.606, intensity 81; 27.0°, d 3.298, intensity 64; 44.3°, d 2.046, intensity 60; 18.3°, d 4.842, intensity 51; 30.3°, d 2.946, intensity 36; 58.4°, d 1.581, intensity 36; 48.7°, d 1.870, intensity 28; 50.7°, d 1.802, intensity 27; 52.5°, d 1.744, intensity 26

Crystal structure
Cell: 6.040 6.040 4.337 Å, 91.91 91.91 73.30°
Fractional coordinates of all 11 atoms:
Zn 0.117 0.117 0.266
Zn 0.883 0.883 0.734
Te 0.500 0.500 0.000
F 0.092 0.092 0.754
F 0.185 0.610 0.755
F 0.322 0.322 0.261
F 0.390 0.815 0.245
F 0.610 0.185 0.755
F 0.678 0.678 0.739
F 0.815 0.390 0.245
F 0.908 0.908 0.246

For Dy2Th3Rh2, a cell relaxed with GGA-PBE gives the computed powder X-ray diffraction pattern in this record (Cu Kα).
Kinematic intensities with the Lorentz-polarization factor, no thermal factor.

Top 10 peaks for 10° ≤ 2θ ≤ 80°, most intense first:
30.7°, d 2.915, intensity 100; 34.3°, d 2.611, intensity 92; 32.7°, d 2.735, intensity 69; 30.3°, d 2.949, intensity 58; 35.2°, d 2.549, intensity 55; 30.4°, d 2.939, intensity 44; 47.4°, d 1.918, intensity 42; 57.3°, d 1.607, intensity 35; 60.2°, d 1.538, intensity 34; 37.9°, d 2.374, intensity 33

Crystal structure
Cell: 6.184 6.184 8.990 Å, 108.87 108.87 36.14°
Fractional coordinates of all 7 atoms:
Dy 0.163 0.163 0.297
Dy 0.837 0.837 0.703
Th 0.379 0.379 0.062
Th 0.500 0.500 0.500
Th 0.621 0.621 0.938
Rh 0.141 0.141 0.704
Rh 0.859 0.859 0.296

For Zr2NpPa3P6, a cell relaxed with GGA-PBE gives the computed powder X-ray diffraction pattern in this record (Cu Kα).
Kinematic intensities with the Lorentz-polarization factor, no thermal factor.

Top 10 peaks for 10° ≤ 2θ ≤ 80°, most intense first:
32.6°, d 2.750, intensity 100; 28.0°, d 3.185, intensity 73; 47.0°, d 1.935, intensity 36; 46.5°, d 1.952, intensity 25; 28.4°, d 3.145, intensity 24; 55.4°, d 1.659, intensity 16; 57.9°, d 1.594, intensity 13; 46.4°, d 1.957, intensity 12; 55.3°, d 1.662, intensity 12; 78.0°, d 1.225, intensity 11

Crystal structure
Cell: 8.662 8.662 7.740 Å, 102.21 102.21 26.11°
Fractional coordinates of all 12 atoms:
Zr 0.167 0.167 0.333
Zr 0.833 0.833 0.667
Np 0.500 0.500 0.000
Pa 0.165 0.165 0.832
Pa 0.500 0.500 0.500
Pa 0.835 0.835 0.168
P 0.005 0.005 0.250
P 0.330 0.330 0.423
P 0.333 0.333 0.907
P 0.667 0.667 0.093
P 0.670 0.670 0.577
P 0.995 0.995 0.750

Number 1 is which compound? Zn2TeF8